Calculated X-ray diffraction stick pattern
Compound: Rb3Pu3SnS8
Radiation: Cu Kα X-rays
Structure: a DFT-relaxed cell (GGA-PBE, Alexandria)
No peak broadening, texture or thermal motion is included.

The 10 most intense peaks (2θ from 10° to 90°), low angle first:
2θ (°), Rel. int.
11.54, 75
23.20, 28
25.38, 23
26.26, 52
29.56, 100
37.28, 19
40.36, 36
44.17, 35
50.48, 22
54.05, 18

Structural model:
```
data_Rb3Pu3SnS8
_cell_length_a 8.2012
_cell_length_b 8.2012
_cell_length_c 23.0001
_cell_angle_alpha 90.00
_cell_angle_beta 90.00
_cell_angle_gamma 120.00
_space_group_name_H-M_alt 'R -3 m'
_space_group_IT_number 166
_space_group_name_Hall '-R 3 2"'
loop_
_atom_site_label
_atom_site_fract_x
_atom_site_fract_y
_atom_site_fract_z
Rb1 0.0000 0.5000 0.0000
Pu1 0.0000 0.5000 0.5000
Sn1 0.0000 0.0000 0.5000
S1 0.0000 0.0000 0.2295
S2 0.0111 0.5055 0.7719
```

***

Calculated X-ray diffraction stick pattern
Compound: Rb3Pu2SbTe6
Radiation: Cu Kα X-rays
Structure: a DFT-relaxed cell (GGA-PBE, Alexandria)
No peak broadening, texture or thermal motion is included.

The 10 most intense peaks (2θ from 10° to 90°), low angle first:
2θ (°), Rel. int.
10.43, 37
26.36, 100
33.34, 17
36.11, 33
39.09, 39
45.32, 11
47.77, 20
54.27, 10
63.36, 17
68.89, 10

Structural model:
```
data_Rb3Pu2SbTe6
_cell_length_a 7.982
_cell_length_b 13.826
_cell_length_c 8.887
_cell_angle_alpha 90.00
_cell_angle_beta 107.41
_cell_angle_gamma 90.00
_space_group_name_H-M_alt 'C 1 2/m 1'
_space_group_IT_number 12
loop_
_space_group_symop_operation_xyz
'x,y,z'
'-x,-y,-z'
'-x,y,-z'
'x,-y,z'
'x+1/2,y+1/2,z'
'-x+1/2,-y+1/2,-z'
'-x+1/2,y+1/2,-z'
'x+1/2,-y+1/2,z'
loop_
_atom_site_label
_atom_site_fract_x
_atom_site_fract_y
_atom_site_fract_z
Rb1 0.000 0.000 0.000
Rb2 0.000 0.334 0.000
Pu1 0.000 0.167 0.500
Sb1 0.000 0.500 0.500
Te1 0.232 0.334 0.698
Te2 0.234 0.000 0.698
```

***

Calculated X-ray diffraction stick pattern
Compound: Rb3Pu2ScTe6
Radiation: Cu Kα X-rays
Structure: a DFT-relaxed cell (GGA-PBE, Alexandria)
No peak broadening, texture or thermal motion is included.

The 10 most intense peaks (2θ from 10° to 90°), low angle first:
2θ (°), Rel. int.
10.41, 34
26.73, 100
33.61, 16
36.35, 32
39.89, 37
45.47, 12
48.67, 19
59.73, 9
64.68, 16
70.13, 9

Structural model:
```
data_Rb3Pu2ScTe6
_cell_length_a 7.828
_cell_length_b 13.561
_cell_length_c 8.893
_cell_angle_alpha 90.00
_cell_angle_beta 107.10
_cell_angle_gamma 90.00
_space_group_name_H-M_alt 'C 1 2/m 1'
_space_group_IT_number 12
loop_
_space_group_symop_operation_xyz
'x,y,z'
'-x,-y,-z'
'-x,y,-z'
'x,-y,z'
'x+1/2,y+1/2,z'
'-x+1/2,-y+1/2,-z'
'-x+1/2,y+1/2,-z'
'x+1/2,-y+1/2,z'
loop_
_atom_site_label
_atom_site_fract_x
_atom_site_fract_y
_atom_site_fract_z
Rb1 0.000 0.000 0.000
Rb2 0.000 0.330 0.000
Pu1 0.000 0.166 0.500
Sc1 0.000 0.500 0.500
Te1 0.225 0.340 0.695
Te2 0.246 0.000 0.697
```